# 1
# NaCaGaSi2O7
Simulated XRD peak list, Cu Kα (λ = 1.5418 Å). Input: the GGA-PBE geometry in the Materials Project.

Principal peaks in the range 10 to 90 degrees two-theta, by angle:
d 5.046, I 36, hkl 1 1 1
d 4.610, I 43, hkl 0 1 2
d 3.960, I 46, hkl 1 2 0
d 3.887, I 57, hkl 1 1 2
d 3.708, I 100, hkl 1 2 1
d 3.376, I 83, hkl 2 1 0
d 3.298, I 40, hkl 0 1 3
d 3.216, I 37, hkl 2 1 1
d 3.000, I 39, hkl 1 1 3
d 2.539, I 43, hkl 0 1 4
d 2.234, I 37, hkl 1 3 3
d 1.946, I 50, hkl 3 1 3

Structure:
Cell lengths 7.2282, 9.4685, 10.5549 Å; angles 90.00, 90.00, 90.00 degrees
Space group P2_12_12_1 (No. 19)
Asymmetric unit:
1 Na 0.1427 0.0134 0.3188 [4 per cell]
2 Ca 0.2210 0.3885 0.7699 [4 per cell]
3 Ga 0.1489 0.1409 0.0212 [4 per cell]
4 Si 0.0188 0.1357 0.6091 [4 per cell]
5 Si 0.0762 0.3390 0.3980 [4 per cell]
6 O 0.0053 0.5012 0.3774 [4 per cell]
7 O 0.0273 0.7198 0.1824 [4 per cell]
8 O 0.0413 0.0352 0.8357 [4 per cell]
9 O 0.0787 0.9941 0.5385 [4 per cell]
10 O 0.0836 0.2907 0.5512 [4 per cell]
11 O 0.1151 0.1531 0.7546 [4 per cell]
12 O 0.2028 0.6402 0.8557 [4 per cell]

# 2
# NaCaGaSi2O7
Simulated XRD peak list, Cu Kα (λ = 1.5418 Å). Input: the GGA-PBE geometry in the Materials Project.

Principal peaks in the range 10 to 90 degrees two-theta, by angle:
d 4.711, I 41, hkl 0 1 2
d 3.953, I 42, hkl 1 1 2
d 3.750, I 87, hkl 1 2 1
d 3.376, I 20, hkl 0 1 3
d 3.240, I 100, hkl 2 1 1
d 3.062, I 61, hkl 1 1 3
d 2.796, I 34, hkl 2 2 1
d 2.749, I 23, hkl 0 3 2
d 2.604, I 24, hkl 0 1 4
d 2.571, I 24, hkl 1 3 2
d 2.271, I 19, hkl 1 3 3
d 2.008, I 30, hkl 3 2 2

Structure:
Cell lengths 7.2654, 9.5743, 10.8228 Å; angles 90.00, 90.00, 90.00 degrees
Space group P2_12_12_1 (No. 19)
Asymmetric unit:
1 Na 0.1422 0.0161 0.3391 [4 per cell]
2 Ca 0.1775 0.3917 0.7512 [4 per cell]
3 Ga 0.2122 0.1420 0.0541 [4 per cell]
4 Si 0.0104 0.3360 0.3950 [4 per cell]
5 Si 0.0471 0.6403 0.8914 [4 per cell]
6 O 0.0068 0.2929 0.5464 [4 per cell]
7 O 0.0178 0.9940 0.5529 [4 per cell]
8 O 0.0391 0.0482 0.8296 [4 per cell]
9 O 0.0436 0.1747 0.7496 [4 per cell]
10 O 0.0622 0.7023 0.1800 [4 per cell]
11 O 0.0925 0.9819 0.1313 [4 per cell]
12 O 0.2304 0.3713 0.3620 [4 per cell]

# 3
# NaCaGaSi2O7
Simulated XRD peak list, Cu Kα (λ = 1.5418 Å). Input: the GGA-PBE geometry in the Materials Project.

Principal peaks in the range 10 to 90 degrees two-theta, by angle:
d 5.119, I 49, hkl 0 0 2
d 3.750, I 63, hkl 1 1 2
d 3.100, I 64, hkl 0 2 2
d 2.880, I 100, hkl 2 1 2
d 2.754, I 19, hkl 2 2 0
d 2.463, I 46, hkl 1 3 0
d 2.425, I 24, hkl 2 2 2
d 2.319, I 13, hkl 0 3 2
d 2.220, I 16, hkl 3 1 2
d 1.775, I 59, hkl 1 3 4
d 1.742, I 20, hkl 4 2 0
d 1.392, I 14, hkl 2 5 2

Structure:
Cell lengths 7.7859, 7.7942, 10.2381 Å; angles 90.00, 90.00, 90.00 degrees
Space group P2_12_12_1 (No. 19)
Asymmetric unit:
1 Na 0.0807 0.1640 0.2449 [4 per cell]
2 Ca 0.0985 0.1603 0.7413 [4 per cell]
3 Ga 0.2465 0.4997 0.9995 [4 per cell]
4 Si 0.1041 0.8579 0.4732 [4 per cell]
5 Si 0.1133 0.8588 0.9754 [4 per cell]
6 O 0.0705 0.4139 0.5972 [4 per cell]
7 O 0.0739 0.4135 0.1027 [4 per cell]
8 O 0.0896 0.8582 0.6303 [4 per cell]
9 O 0.1236 0.8508 0.1307 [4 per cell]
10 O 0.1588 0.6770 0.8981 [4 per cell]
11 O 0.1675 0.6790 0.4007 [4 per cell]
12 O 0.2491 0.0038 0.9138 [4 per cell]

# 4
# NaCaGaSi2O7
Simulated XRD peak list, Cu Kα (λ = 1.5418 Å). Input: the GGA-PBE geometry in the Materials Project.

Principal peaks in the range 10 to 90 degrees two-theta, by angle:
d 5.111, I 100, hkl 1 0 0
d 3.787, I 54, hkl 1 1 -1
d 3.714, I 75, hkl 1 1 1
d 3.146, I 33, hkl 1 0 -2
d 3.099, I 68, hkl 1 2 0
d 2.918, I 56, hkl 1 1 -2
d 2.898, I 58, hkl 1 2 -1
d 2.865, I 44, hkl 1 2 1
d 2.851, I 47, hkl 1 1 2
d 2.759, I 37, hkl 0 2 2
d 2.468, I 93, hkl 0 3 1
d 1.745, I 42, hkl 0 2 4

Structure:
Cell lengths 5.1126, 7.7953, 7.8177 Å; angles 90.00, 91.58, 90.00 degrees
Space group P2_1 (No. 4)
Asymmetric unit:
1 Na 0.0087 0.0000 0.4207 [2 per cell]
2 Ca 0.0169 0.6769 0.0984 [2 per cell]
3 Ga 0.4978 0.8365 0.7486 [2 per cell]
4 Si 0.4492 0.1956 0.6143 [2 per cell]
5 Si 0.4488 0.4773 0.8958 [2 per cell]
6 O 0.2393 0.6874 0.3712 [2 per cell]
7 O 0.2387 0.9770 0.0848 [2 per cell]
8 O 0.2904 0.4180 0.0703 [2 per cell]
9 O 0.2936 0.0192 0.6750 [2 per cell]
10 O 0.3062 0.6619 0.8474 [2 per cell]
11 O 0.3151 0.2459 0.4270 [2 per cell]
12 O 0.3245 0.3405 0.7501 [2 per cell]